(1)
# YCu2Bi2Se2O4
Theoretical XRD peak list, a wavelength of 1.5418 Å. Input: a crystal structure in the Materials Project, relaxed with PBE.

Crystal structure
a b c (Å): 12.789 12.789 12.789
angles (deg): 162.44 162.44 24.93
Element x y z (fractional)
Y  0.000  0.000  0.000
Cu  0.250  0.750  0.500
Cu  0.750  0.250  0.500
Bi  0.399  0.399  0.000
Bi  0.601  0.601  0.000
Se  0.189  0.189  0.000
Se  0.811  0.811  0.000
O  0.056  0.556  0.500
O  0.444  0.944  0.500
O  0.556  0.056  0.500
O  0.944  0.444  0.500

Top 10 peaks for 10° ≤ 2θ ≤ 90°, sorted by position:
2θ/deg  I_rel
21.35  11
23.06  13
29.03  100
32.44  18
35.56  21
46.53  24
49.20  37
55.79  32
60.45  10
88.32  14

(2)
# Sr2SmCu2Bi2O8
Theoretical XRD peak list, a wavelength of 1.5418 Å. Input: a crystal structure in the Materials Project, relaxed with PBE.

Crystal structure
a b c (Å): 15.621 15.621 15.621
angles (deg): 165.98 165.98 19.88
Element x y z (fractional)
Sr  0.115  0.115  0.000
Sr  0.885  0.885  0.000
Sm  0.000  0.000  0.000
Cu  0.446  0.446  0.000
Cu  0.554  0.554  0.000
Bi  0.296  0.296  0.000
Bi  0.704  0.704  0.000
O  0.051  0.551  0.500
O  0.202  0.202  0.000
O  0.365  0.365  0.000
O  0.449  0.949  0.500
O  0.551  0.051  0.500
O  0.635  0.635  0.000
O  0.798  0.798  0.000
O  0.949  0.449  0.500

Top 10 peaks for 10° ≤ 2θ ≤ 90°, sorted by position:
2θ/deg  I_rel
11.50  20
24.91  39
27.51  44
31.04  100
33.22  85
44.68  35
47.69  40
56.25  18
58.00  36
76.78  19

(3)
# Sr2Cu2BiO7
Theoretical XRD peak list, a wavelength of 1.5418 Å. Input: a crystal structure in the Materials Project, relaxed with PBE.

Crystal structure
a b c (Å): 14.243 14.243 14.243
angles (deg): 29.64 159.07 159.26
Element x y z (fractional)
Sr  0.000  0.141  0.141
Sr  0.000  0.359  0.359
Sr  0.000  0.641  0.641
Sr  0.000  0.859  0.859
Cu  0.498  0.060  0.560
Cu  0.498  0.438  0.938
Cu  0.499  0.560  0.062
Cu  0.499  0.938  0.440
Bi  0.464  0.226  0.738
Bi  0.487  0.726  0.262
O  0.000  0.324  0.826
O  0.000  0.674  0.176
O  0.117  0.298  0.319
O  0.496  0.673  0.164
O  0.496  0.832  0.323
O  0.498  0.174  0.174
O  0.498  0.824  0.824
O  0.500  0.325  0.326
O  0.500  0.674  0.675
O  0.509  0.173  0.677
O  0.509  0.332  0.836
O  0.980  0.798  0.681
O  0.999  0.174  0.674
O  0.999  0.825  0.325

Top 10 peaks for 10° ≤ 2θ ≤ 90°, sorted by position:
2θ/deg  I_rel
19.34  31
24.44  21
27.71  100
31.35  76
32.51  34
34.67  29
34.99  28
48.26  21
48.51  21
50.08  31

(4)
# Sr4Cu2Bi4O13
Theoretical XRD peak list, a wavelength of 1.5418 Å. Input: a crystal structure in the Materials Project, relaxed with PBE.

Crystal structure
a b c (Å): 12.754 12.754 5.643
angles (deg): 90.47 90.47 154.10
Element x y z (fractional)
Sr  0.240  0.240  0.261
Sr  0.384  0.106  0.249
Sr  0.760  0.760  0.739
Sr  0.894  0.616  0.751
Cu  0.327  0.177  0.752
Cu  0.823  0.673  0.248
Bi  0.002  0.496  0.258
Bi  0.139  0.355  0.771
Bi  0.504  0.998  0.742
Bi  0.645  0.861  0.229
O  0.066  0.934  0.000
O  0.070  0.930  0.500
O  0.295  0.705  0.500
O  0.325  0.384  0.737
O  0.358  0.017  0.792
O  0.577  0.423  0.500
O  0.580  0.420  0.000
O  0.616  0.675  0.263
O  0.724  0.276  0.500
O  0.789  0.211  0.000
O  0.910  0.090  0.500
O  0.925  0.075  0.000
O  0.983  0.642  0.208

Top 10 peaks for 10° ≤ 2θ ≤ 90°, sorted by position:
2θ/deg  I_rel
21.45  34
24.28  84
25.02  78
28.26  100
28.73  36
28.91  80
31.32  55
31.74  54
43.02  35
43.33  32